For Zn3Fe8CoO16, the GGA+U geometry in the Materials Project gives the calculated powder diffraction line list in this record (λ = 1.5418 Å (Cu Kα)).
Kinematic intensities with the Lorentz-polarization factor, no thermal factor.

Crystal structure
```
Zn3Fe8CoO16
1.0
6.0486 0.0000 0.0000
0.0000 6.0486 0.0000
0.0000 0.0000 8.5535
Zn Fe Co O
3 8 1 16
Direct
0.0000 0.0000 0.0000
0.0000 0.5000 0.7501
0.5000 0.0000 0.2499
0.0000 0.2500 0.3751
0.0000 0.7500 0.3751
0.2500 0.0000 0.6249
0.2500 0.5000 0.1250
0.5000 0.2500 0.8750
0.5000 0.7500 0.8750
0.7500 0.0000 0.6249
0.7500 0.5000 0.1250
0.5000 0.5000 0.5000
0.0000 0.2294 0.6146
0.0000 0.2707 0.1354
0.0000 0.7293 0.1354
0.0000 0.7706 0.6146
0.2294 0.0000 0.3854
0.2292 0.5000 0.3647
0.2707 0.0000 0.8646
0.2707 0.5000 0.8853
0.5000 0.2292 0.6353
0.5000 0.2707 0.1147
0.5000 0.7293 0.1147
0.5000 0.7708 0.6353
0.7293 0.0000 0.8646
0.7293 0.5000 0.8853
0.7706 0.0000 0.3854
0.7708 0.5000 0.3647
```

Top 12 peaks for 10 to 90 degrees two-theta, by angle:
- 18.0°, rel. 5.4
- 29.5°, rel. 34.3
- 34.8°, rel. 100.0
- 36.4°, rel. 7.6
- 42.3°, rel. 15.2
- 52.4°, rel. 12.3
- 55.8°, rel. 36.6
- 61.3°, rel. 44.0
- 69.5°, rel. 4.7
- 72.5°, rel. 10.3
- 84.8°, rel. 6.1
- 87.6°, rel. 17.0

For Na2NiPCO7, the GGA+U geometry in the Materials Project gives the calculated powder diffraction line list in this record (λ = 1.5418 Å (Cu Kα)).
Kinematic intensities with the Lorentz-polarization factor, no thermal factor.

Crystal structure
```
Na2NiPCO7
1.0
8.4906 0.0000 0.0000
-2.1679 8.2378 0.0000
-3.0208 -3.9175 8.8163
Na Ni P C O
8 4 4 4 28
Direct
0.0000 0.0000 0.0000
0.0066 0.9614 0.4722
0.2387 0.7184 0.9923
0.4788 0.4801 0.9912
0.4912 0.4668 0.4707
0.5306 0.7897 0.8102
0.7357 0.2332 0.4814
0.7613 0.2399 0.9975
0.0522 0.2970 0.3865
0.4320 0.1683 0.0826
0.5435 0.7926 0.3866
0.9292 0.6701 0.0850
0.1856 0.4281 0.1567
0.2988 0.0383 0.3154
0.6846 0.9234 0.1552
0.7927 0.5314 0.3124
0.2239 0.4628 0.6626
0.2590 0.0010 0.8111
0.7234 0.9574 0.6621
0.7613 0.5022 0.8098
0.0555 0.2954 0.1932
0.0772 0.5068 0.0628
0.0781 0.3227 0.5987
0.1495 0.8885 0.1643
0.1700 0.9153 0.6724
0.2187 0.1457 0.4092
0.2192 0.9563 0.9144
0.2618 0.3187 0.0597
0.2783 0.5109 0.5692
0.3079 0.5481 0.8060
0.3372 0.5715 0.3067
0.4048 0.1423 0.8712
0.4164 0.9694 0.4105
0.4246 0.1693 0.2738
0.5514 0.7919 0.1895
0.5788 0.0012 0.0553
0.5812 0.8129 0.6013
0.6436 0.3844 0.1580
0.6757 0.4202 0.6688
0.7134 0.4555 0.9082
0.7130 0.6355 0.4080
0.7587 0.8154 0.0529
0.7695 0.0042 0.5634
0.8048 0.0419 0.8047
0.8325 0.0684 0.3062
0.8950 0.4459 0.4028
0.9054 0.6452 0.8732
0.9135 0.6635 0.2710
```

Top 12 peaks for 10 to 90 degrees two-theta, by angle:
- 10.0°, rel. 100.0
- 16.6°, rel. 36.5
- 20.1°, rel. 22.3
- 21.6°, rel. 18.9
- 26.2°, rel. 24.7
- 26.5°, rel. 43.5
- 33.5°, rel. 37.7
- 34.6°, rel. 38.4
- 38.0°, rel. 17.4
- 41.5°, rel. 13.7
- 49.4°, rel. 13.7
- 54.5°, rel. 19.2

For Er2Mn2O7, the GGA+U geometry in the Materials Project gives the calculated powder diffraction line list in this record (λ = 1.5418 Å (Cu Kα)).
Kinematic intensities with the Lorentz-polarization factor, no thermal factor.

Crystal structure
```
Er2Mn2O7
1.0
0.0000 4.9909 4.9909
4.9909 0.0000 4.9909
4.9909 4.9909 0.0000
Er Mn O
4 4 14
Direct
0.0000 0.0000 0.0000
0.0000 0.0000 0.5000
0.0000 0.5000 0.0000
0.5000 0.0000 0.0000
0.0000 0.5000 0.5000
0.5000 0.0000 0.5000
0.5000 0.5000 0.0000
0.5000 0.5000 0.5000
0.1250 0.1250 0.1250
0.1683 0.1683 0.5817
0.1683 0.5817 0.1683
0.1683 0.5817 0.5817
0.4183 0.4183 0.8317
0.4183 0.8317 0.4183
0.4183 0.8317 0.8317
0.5817 0.1683 0.1683
0.5817 0.1683 0.5817
0.5817 0.5817 0.1683
0.8317 0.4183 0.4183
0.8317 0.4183 0.8317
0.8317 0.8317 0.4183
0.8750 0.8750 0.8750
```

Top 12 peaks for 10 to 90 degrees two-theta, by angle:
- 15.4°, rel. 26.2
- 29.7°, rel. 14.2
- 31.0°, rel. 100.0
- 36.0°, rel. 30.4
- 39.3°, rel. 17.6
- 47.3°, rel. 8.8
- 51.8°, rel. 46.9
- 54.4°, rel. 7.9
- 61.6°, rel. 41.0
- 64.7°, rel. 9.3
- 84.6°, rel. 16.8
- 87.4°, rel. 13.5

For Na3CrF6, the GGA+U geometry in the Materials Project gives the calculated powder diffraction line list in this record (λ = 1.5418 Å (Cu Kα)).
Kinematic intensities with the Lorentz-polarization factor, no thermal factor.

Crystal structure
```
Na3CrF6
1.0
5.5705 0.0000 0.0000
0.0000 5.8062 0.0000
-5.5166 0.0000 8.0572
Na Cr F
6 2 12
Direct
0.0000 0.0000 0.0000
0.0000 0.5000 0.5000
0.2271 0.0573 0.7444
0.2271 0.4427 0.2444
0.7729 0.5573 0.7556
0.7729 0.9427 0.2556
0.5000 0.0000 0.5000
0.5000 0.5000 0.0000
0.1622 0.1786 0.4474
0.1622 0.3214 0.9474
0.2587 0.7224 0.4271
0.2587 0.7776 0.9271
0.3930 0.0574 0.2746
0.3930 0.4426 0.7746
0.6070 0.5574 0.2254
0.6070 0.9426 0.7254
0.7413 0.2224 0.0729
0.7413 0.2776 0.5729
0.8378 0.6786 0.0526
0.8378 0.8214 0.5526
```

Top 12 peaks for 10 to 90 degrees two-theta, by angle:
- 18.8°, rel. 82.8
- 19.4°, rel. 40.3
- 22.1°, rel. 100.0
- 30.8°, rel. 35.0
- 31.4°, rel. 86.8
- 31.5°, rel. 79.4
- 37.3°, rel. 32.8
- 45.0°, rel. 41.6
- 45.1°, rel. 81.8
- 55.2°, rel. 35.5
- 55.5°, rel. 33.1
- 56.7°, rel. 43.8

For Sr2MgVO4, the GGA+U geometry in the Materials Project gives the calculated powder diffraction line list in this record (λ = 1.5418 Å (Cu Kα)).
Kinematic intensities with the Lorentz-polarization factor, no thermal factor.

Crystal structure
```
Sr2MgVO4
1.0
-2.0343 2.0343 7.0515
2.0343 -2.0343 7.0515
2.0343 2.0343 -7.0515
Sr Mg V O
2 1 1 4
Direct
0.1101 0.1101 0.0000
0.8899 0.8899 0.0000
0.2500 0.7500 0.5000
0.5000 0.5000 0.0000
0.0096 0.5096 0.5000
0.3077 0.3077 0.0000
0.4904 0.9904 0.5000
0.6923 0.6923 0.0000
```

Top 12 peaks for 10 to 90 degrees two-theta, by angle:
- 12.6°, rel. 29.0
- 22.7°, rel. 37.9
- 29.0°, rel. 40.1
- 31.1°, rel. 59.1
- 38.9°, rel. 100.0
- 40.5°, rel. 39.6
- 44.5°, rel. 52.1
- 54.0°, rel. 14.5
- 60.6°, rel. 49.9
- 64.8°, rel. 15.4
- 70.7°, rel. 11.7
- 75.0°, rel. 12.0

For CaYMn2O6, the GGA+U geometry in the Materials Project gives the calculated powder diffraction line list in this record (λ = 1.5418 Å (Cu Kα)).
Kinematic intensities with the Lorentz-polarization factor, no thermal factor.

Crystal structure
```
CaYMn2O6
1.0
5.2380 0.0000 0.0000
0.0000 5.4246 0.0000
-5.1786 0.0000 7.9342
Ca Y Mn O
2 2 4 12
Direct
0.0000 0.1985 0.0000
0.0000 0.8015 0.5000
0.4643 0.3094 0.4968
0.4643 0.6906 0.9968
0.2360 0.2461 0.7490
0.2360 0.7539 0.2490
0.7347 0.2490 0.2486
0.7347 0.7510 0.7486
0.0854 0.0525 0.2980
0.0854 0.9475 0.7980
0.3953 0.4588 0.2019
0.3953 0.5412 0.7019
0.4869 0.0484 0.6958
0.4869 0.9516 0.1958
0.5810 0.2797 0.0123
0.5810 0.7203 0.5123
0.8716 0.2260 0.4853
0.8716 0.7740 0.9853
0.9918 0.4604 0.8001
0.9918 0.5396 0.3001
```

Top 12 peaks for 10 to 90 degrees two-theta, by angle:
- 19.8°, rel. 16.6
- 32.7°, rel. 100.0
- 32.9°, rel. 93.3
- 33.0°, rel. 40.1
- 34.2°, rel. 41.8
- 45.7°, rel. 37.5
- 48.3°, rel. 51.1
- 55.0°, rel. 17.0
- 57.6°, rel. 20.7
- 60.2°, rel. 23.9
- 60.6°, rel. 22.6
- 68.9°, rel. 13.2

For Ba2Mn2CuF14, the GGA+U geometry in the Materials Project gives the calculated powder diffraction line list in this record (λ = 1.5418 Å (Cu Kα)).
Kinematic intensities with the Lorentz-polarization factor, no thermal factor.

Crystal structure
```
Ba2Mn2CuF14
1.0
7.0859 -2.6863 0.0000
7.0859 2.6863 0.0000
-0.1723 0.0000 15.1089
Ba Mn Cu F
4 4 2 28
Direct
0.1069 0.2467 0.1272
0.2467 0.1069 0.6272
0.7533 0.8931 0.3728
0.8931 0.7533 0.8728
0.1049 0.1452 0.3743
0.1452 0.1049 0.8743
0.8548 0.8951 0.1257
0.8951 0.8548 0.6257
0.5000 0.5000 0.0000
0.5000 0.5000 0.5000
0.0075 0.6454 0.2153
0.0601 0.9316 0.1523
0.0684 0.9399 0.3477
0.1149 0.6083 0.0487
0.1232 0.7063 0.5265
0.1484 0.3466 0.4098
0.1559 0.5930 0.7027
0.2937 0.8768 0.9735
0.3466 0.1484 0.9098
0.3546 0.9925 0.2847
0.3851 0.4859 0.8949
0.3917 0.8851 0.4513
0.4070 0.8441 0.7973
0.4859 0.3851 0.3949
0.5141 0.6149 0.6051
0.5930 0.1559 0.2027
0.6083 0.1149 0.5487
0.6149 0.5141 0.1051
0.6454 0.0075 0.7153
0.6534 0.8516 0.0902
0.7063 0.1232 0.0265
0.8441 0.4070 0.2973
0.8516 0.6534 0.5902
0.8768 0.2937 0.4735
0.8851 0.3917 0.9513
0.9316 0.0601 0.6523
0.9399 0.0684 0.8477
0.9925 0.3546 0.7847
```

Top 12 peaks for 10 to 90 degrees two-theta, by angle:
- 17.7°, rel. 26.5
- 21.3°, rel. 28.6
- 23.6°, rel. 38.3
- 25.1°, rel. 100.0
- 27.7°, rel. 25.3
- 27.9°, rel. 20.8
- 29.5°, rel. 34.9
- 29.6°, rel. 18.2
- 37.7°, rel. 21.6
- 38.1°, rel. 25.9
- 40.2°, rel. 26.4
- 41.2°, rel. 19.1